# LiFe7O6F10
Computed PXRD pattern, Cu Kα (weighted mean of Kα1 and Kα2). Input: a DFT-relaxed cell (PBE+U, Alexandria).
Neutral-atom scattering factors, no anomalous dispersion.

Atomic structure:
abc: 4.5354 11.1873 5.0818
angles: 90.00 90.11 90.00
Positions (direct):
Li 0.0000 0.0000 0.0000
Fe 0.0000 0.1626 0.5000
Fe 0.0000 0.4998 0.0000
Fe 0.0000 0.6546 0.5000
Fe 0.5000 0.2497 0.0000
Fe 0.5000 0.4014 0.5000
Fe 0.5000 0.7629 0.0000
Fe 0.5000 0.8925 0.5000
O 0.2336 0.5165 0.6755
O 0.2743 0.7712 0.6709
O 0.2833 0.2689 0.6782
O 0.7167 0.2689 0.3218
O 0.7257 0.7712 0.3291
O 0.7664 0.5165 0.3245
F 0.2253 0.1372 0.1664
F 0.2347 0.6386 0.1598
F 0.2426 0.0184 0.6499
F 0.2594 0.3811 0.1664
F 0.2648 0.8895 0.1737
F 0.7352 0.8895 0.8263
F 0.7406 0.3811 0.8336
F 0.7574 0.0184 0.3501
F 0.7653 0.6386 0.8402
F 0.7747 0.1372 0.8336

The 10 most intense peaks (2θ from 10° to 90°), by angle:
2θ (°), d/Å, Rel. int.
25.28, 3.523, 61.0
30.89, 2.895, 100.0
36.68, 2.450, 18.0
41.90, 2.156, 25.6
43.93, 2.061, 19.4
53.11, 1.725, 14.8
54.16, 1.694, 13.2
55.19, 1.664, 44.3
60.66, 1.527, 15.1
64.29, 1.449, 21.2



# Li3Fe4O3F9
Computed PXRD pattern, Cu Kα (weighted mean of Kα1 and Kα2). Input: a DFT-relaxed cell (PBE+U, Alexandria).
Neutral-atom scattering factors, no anomalous dispersion.

Atomic structure:
abc: 5.6892 6.0236 6.0598
angles: 100.10 99.46 97.28
Positions (direct):
Li 0.0000 0.0000 0.0000
Li 0.1905 0.2808 0.6575
Li 0.4524 0.8468 0.7404
Fe 0.3137 0.5800 0.2356
Fe 0.5909 0.1591 0.3322
Fe 0.7446 0.4818 0.9647
Fe 0.8779 0.7660 0.4523
O 0.0092 0.7215 0.1648
O 0.5352 0.8565 0.3920
O 0.6611 0.4651 0.2755
F 0.1483 0.9490 0.7118
F 0.1780 0.5513 0.5115
F 0.2712 0.2082 0.2199
F 0.4124 0.5879 0.9350
F 0.5466 0.2723 0.6519
F 0.6393 0.0624 0.0218
F 0.7664 0.7007 0.7435
F 0.9131 0.1181 0.4287
F 0.9990 0.3189 0.9019

The 10 most intense peaks (2θ from 10° to 90°), by angle:
2θ (°), d/Å, Rel. int.
15.13, 5.855, 100.0
16.00, 5.539, 35.9
19.17, 4.630, 28.7
24.76, 3.596, 33.2
31.31, 2.857, 59.9
31.54, 2.837, 49.5
31.72, 2.821, 54.1
33.50, 2.675, 53.8
52.26, 1.750, 49.4
54.92, 1.672, 27.6



# Li4FeO3F
Computed PXRD pattern, Cu Kα (weighted mean of Kα1 and Kα2). Input: a DFT-relaxed cell (PBE+U, Alexandria).
Neutral-atom scattering factors, no anomalous dispersion.

Atomic structure:
abc: 5.4290 5.4290 6.4140
angles: 90.00 90.00 84.26
Positions (direct):
Li 0.0794 0.6152 0.5000
Li 0.3294 0.3417 0.2612
Li 0.3417 0.3294 0.7612
Li 0.3848 0.9206 0.5000
Li 0.6152 0.0794 0.0000
Li 0.6583 0.6706 0.2612
Li 0.6706 0.6583 0.7612
Li 0.9206 0.3848 0.0000
Fe 0.1468 0.8532 0.0399
Fe 0.8532 0.1468 0.5399
O 0.1747 0.2391 0.5134
O 0.2391 0.1747 0.0134
O 0.2995 0.7005 0.2737
O 0.7005 0.2995 0.7737
O 0.7609 0.8253 0.5134
O 0.8253 0.7609 0.0134
F 0.2945 0.7055 0.7582
F 0.7055 0.2945 0.2582

The 10 most intense peaks (2θ from 10° to 90°), by angle:
2θ (°), d/Å, Rel. int.
16.41, 5.402, 47.4
21.51, 4.132, 100.0
22.08, 4.026, 47.5
28.18, 3.167, 71.5
32.47, 2.758, 74.0
33.17, 2.701, 53.5
36.08, 2.489, 34.7
38.40, 2.344, 31.5
48.36, 1.882, 30.7
58.81, 1.570, 34.2



# LiFe2O2F3
Computed PXRD pattern, Cu Kα (weighted mean of Kα1 and Kα2). Input: a DFT-relaxed cell (PBE+U, Alexandria).
Neutral-atom scattering factors, no anomalous dispersion.

Atomic structure:
abc: 5.3801 5.3801 10.2368
angles: 90.42 90.42 41.85
Positions (direct):
Li 0.1316 0.1316 0.0581
Li 0.8684 0.8684 0.9419
Fe 0.1378 0.1378 0.4532
Fe 0.1818 0.1818 0.7487
Fe 0.8182 0.8182 0.2513
Fe 0.8622 0.8622 0.5468
O 0.0418 0.0418 0.6196
O 0.3031 0.3031 0.5814
O 0.6969 0.6969 0.4186
O 0.9582 0.9582 0.3804
F 0.0507 0.0507 0.8837
F 0.2650 0.2650 0.2559
F 0.3084 0.3084 0.9007
F 0.6916 0.6916 0.0993
F 0.7350 0.7350 0.7441
F 0.9493 0.9493 0.1163

The 10 most intense peaks (2θ from 10° to 90°), by angle:
2θ (°), d/Å, Rel. int.
17.65, 5.025, 64.7
24.80, 3.590, 100.0
24.93, 3.572, 29.9
26.29, 3.390, 69.1
31.58, 2.833, 42.8
31.82, 2.813, 31.5
39.39, 2.288, 28.7
44.97, 2.016, 36.7
47.31, 1.921, 45.2
50.63, 1.803, 33.4



# Li2FeOF3
Computed PXRD pattern, Cu Kα (weighted mean of Kα1 and Kα2). Input: a DFT-relaxed cell (PBE+U, Alexandria).
Neutral-atom scattering factors, no anomalous dispersion.

Atomic structure:
abc: 5.9608 5.9608 5.9154
angles: 118.95 118.95 58.25
Positions (direct):
Li 0.0000 0.0000 0.0000
Li 0.3461 0.8706 0.5852
Li 0.3539 0.3539 0.5821
Li 0.8706 0.3461 0.5852
Fe 0.3582 0.3582 0.1003
Fe 0.7578 0.7578 0.2198
O 0.1409 0.6044 0.3382
O 0.6044 0.1409 0.3382
F 0.1220 0.1220 0.8465
F 0.1296 0.1296 0.3800
F 0.1324 0.5932 0.8634
F 0.5932 0.1324 0.8634
F 0.6153 0.6153 0.8340
F 0.6190 0.6190 0.3461

The 10 most intense peaks (2θ from 10° to 90°), by angle:
2θ (°), d/Å, Rel. int.
18.01, 4.924, 100.0
20.49, 4.335, 59.1
21.45, 4.142, 71.2
30.01, 2.977, 80.1
30.82, 2.901, 44.2
34.68, 2.587, 44.0
35.46, 2.531, 44.7
35.76, 2.511, 45.9
43.71, 2.071, 47.6
61.58, 1.506, 46.1



# Li4FeO3F
Computed PXRD pattern, Cu Kα (weighted mean of Kα1 and Kα2). Input: a DFT-relaxed cell (PBE+U, Alexandria).
Neutral-atom scattering factors, no anomalous dispersion.

Atomic structure:
abc: 5.2930 5.4177 7.8284
angles: 69.77 79.76 65.76
Positions (direct):
Li 0.0000 0.0000 0.0000
Li 0.0024 0.4813 0.1533
Li 0.0109 0.2613 0.5745
Li 0.0469 0.7175 0.7999
Li 0.4708 0.3465 0.3671
Li 0.5047 0.7528 0.5794
Li 0.5142 0.6018 0.0314
Li 0.5248 0.0520 0.1599
Fe 0.0408 0.9312 0.3425
Fe 0.4936 0.1188 0.7898
O 0.2093 0.6832 0.2071
O 0.2536 0.9529 0.7750
O 0.2767 0.0809 0.3830
O 0.6076 0.3524 0.5855
O 0.7404 0.8421 0.9714
O 0.7734 0.2296 0.1815
F 0.2765 0.3589 0.9550
F 0.9124 0.7035 0.5835

The 10 most intense peaks (2θ from 10° to 90°), by angle:
2θ (°), d/Å, Rel. int.
18.86, 4.706, 100.0
20.53, 4.326, 90.4
21.62, 4.110, 88.5
22.48, 3.955, 69.6
25.85, 3.446, 86.9
27.25, 3.273, 73.3
31.18, 2.868, 43.5
31.61, 2.831, 40.6
43.02, 2.103, 41.8
44.65, 2.029, 42.1



# LiFeOF
Computed PXRD pattern, Cu Kα (weighted mean of Kα1 and Kα2). Input: a DFT-relaxed cell (PBE+U, Alexandria).
Neutral-atom scattering factors, no anomalous dispersion.

Atomic structure:
abc: 3.0032 3.0032 4.4995
angles: 90.00 90.00 94.21
Positions (direct):
Li 0.0000 0.0000 0.0000
Fe 0.5000 0.5000 0.5000
O 0.0000 0.0000 0.5000
F 0.5000 0.5000 0.0000

The 10 most intense peaks (2θ from 10° to 90°), by angle:
2θ (°), d/Å, Rel. int.
19.73, 4.499, 100.0
29.83, 2.995, 87.3
40.08, 2.250, 57.8
41.02, 2.200, 53.7
44.31, 2.044, 41.9
50.75, 1.799, 36.3
58.70, 1.573, 31.9
61.27, 1.513, 27.4
61.97, 1.498, 26.3
76.40, 1.247, 25.6



# Li3FeO2F2
Computed PXRD pattern, Cu Kα (weighted mean of Kα1 and Kα2). Input: a DFT-relaxed cell (PBE+U, Alexandria).
Neutral-atom scattering factors, no anomalous dispersion.

Atomic structure:
abc: 5.0618 5.9387 5.0491
angles: 90.00 107.63 90.00
Positions (direct):
Li 0.0000 0.1128 0.2500
Li 0.0000 0.3568 0.7500
Li 0.0000 0.6432 0.2500
Li 0.0000 0.8872 0.7500
Li 0.5000 0.3682 0.2500
Li 0.5000 0.6318 0.7500
Fe 0.5000 0.1068 0.7500
Fe 0.5000 0.8932 0.2500
O 0.2680 0.1174 0.9873
O 0.2680 0.8826 0.4873
O 0.7320 0.1174 0.5127
O 0.7320 0.8826 0.0127
F 0.2536 0.3791 0.5083
F 0.2536 0.6209 0.0083
F 0.7464 0.3791 0.9917
F 0.7464 0.6209 0.4917

The 10 most intense peaks (2θ from 10° to 90°), by angle:
2θ (°), d/Å, Rel. int.
14.92, 5.939, 62.3
18.39, 4.824, 82.0
23.78, 3.742, 84.7
26.50, 3.363, 26.7
35.52, 2.527, 26.2
40.40, 2.232, 27.6
42.96, 2.105, 100.0
44.41, 2.040, 44.6
63.43, 1.466, 24.6
63.57, 1.464, 24.6